Structure and calculated XRD peak list of Er4SiTeSe2 (a PBE-relaxed structure; copper Kα).
Peak positions follow from Bragg's law for the DFT cell and can differ from measured ones.

abc: 5.8352 5.8352 11.7480
angles: 90.00 90.00 90.00
Positions (direct):
Er 0.0000 0.0000 0.2376
Er 0.0000 0.0000 0.7624
Er 0.0000 0.5000 0.5082
Er 0.0000 0.5000 0.9918
Er 0.5000 0.0000 0.0082
Er 0.5000 0.0000 0.4918
Er 0.5000 0.5000 0.2624
Er 0.5000 0.5000 0.7376
Si 0.0000 0.0000 0.0000
Si 0.5000 0.5000 0.5000
Te 0.0000 0.5000 0.2500
Te 0.5000 0.0000 0.7500
Se 0.0000 0.0000 0.5000
Se 0.0000 0.5000 0.7500
Se 0.5000 0.0000 0.2500
Se 0.5000 0.5000 0.0000

The 8 most intense peaks (2θ from 5° to 70°), in order of falling intensity:
- 30.64°, I = 100.0, hkl 2 0 0
- 43.73°, I = 71.8, hkl 2 0 4
- 30.44°, I = 48.5, hkl 0 0 4
- 54.34°, I = 37.9, hkl 2 2 4
- 43.89°, I = 37.3, hkl 2 2 0
- 26.40°, I = 35.5, hkl 1 1 2
- 63.80°, I = 12.2, hkl 4 0 0
- 51.94°, I = 11.8, hkl 3 1 2


Structure and calculated XRD peak list of AsIF12 (a PBE-relaxed structure; copper Kα).
Peak positions follow from Bragg's law for the DFT cell and can differ from measured ones.

abc: 9.5988 9.5988 9.5988
angles: 90.00 90.00 90.00
Positions (direct):
As 0.0000 0.0000 0.0000
As 0.0000 0.5000 0.5000
As 0.5000 0.0000 0.5000
As 0.5000 0.5000 0.0000
I 0.0000 0.0000 0.5000
I 0.0000 0.5000 0.0000
I 0.5000 0.0000 0.0000
I 0.5000 0.5000 0.5000
F 0.0600 0.6044 0.3594
F 0.0600 0.8956 0.8594
F 0.0621 0.1148 0.6385
F 0.0621 0.3852 0.1385
F 0.1044 0.1406 0.9400
F 0.1044 0.3594 0.4400
F 0.1148 0.6385 0.0621
F 0.1148 0.8615 0.5621
F 0.1385 0.0621 0.3852
F 0.1385 0.4379 0.8852
F 0.1406 0.5600 0.6044
F 0.1406 0.9400 0.1044
F 0.3594 0.0600 0.6044
F 0.3594 0.4400 0.1044
F 0.3615 0.5621 0.3852
F 0.3615 0.9379 0.8852
F 0.3852 0.1385 0.0621
F 0.3852 0.3615 0.5621
F 0.3956 0.6406 0.9400
F 0.3956 0.8594 0.4400
F 0.4379 0.6148 0.6385
F 0.4379 0.8852 0.1385
F 0.4400 0.1044 0.3594
F 0.4400 0.3956 0.8594
F 0.5600 0.6044 0.1406
F 0.5600 0.8956 0.6406
F 0.5621 0.1148 0.8615
F 0.5621 0.3852 0.3615
F 0.6044 0.1406 0.5600
F 0.6044 0.3594 0.0600
F 0.6148 0.6385 0.4379
F 0.6148 0.8615 0.9379
F 0.6385 0.0621 0.1148
F 0.6385 0.4379 0.6148
F 0.6406 0.5600 0.8956
F 0.6406 0.9400 0.3956
F 0.8594 0.0600 0.8956
F 0.8594 0.4400 0.3956
F 0.8615 0.5621 0.1148
F 0.8615 0.9379 0.6148
F 0.8852 0.1385 0.4379
F 0.8852 0.3615 0.9379
F 0.8956 0.6406 0.5600
F 0.8956 0.8594 0.0600
F 0.9379 0.6148 0.8615
F 0.9379 0.8852 0.3615
F 0.9400 0.1044 0.1406
F 0.9400 0.3956 0.6406

The 8 most intense peaks (2θ from 5° to 70°), in order of falling intensity:
- 18.49°, I = 100.0, hkl 2 0 0
- 26.26°, I = 48.8, hkl 2 2 0
- 46.34°, I = 20.7, hkl 4 2 2
- 32.31°, I = 18.1, hkl 2 2 2
- 57.62°, I = 17.3, hkl 4 4 2
- 42.10°, I = 15.6, hkl 4 2 0
- 54.04°, I = 10.6, hkl 4 4 0
- 61.05°, I = 9.7, hkl 6 2 0